[1]
Simulated XRD peak list of Rb2CdP2O7 for Cu Kα (weighted mean of Kα1 and Kα2), from a GGA-PBE-relaxed structure.

Crystal structure
Lattice parameters (Å, degrees): 5.370 9.841 15.363 90.00 92.71 90.00
Space group P2_1/c (No. 14)
Symmetry-distinct sites (fractional):
Rb: 0.217 0.156 0.076
Rb: 0.239 0.025 0.388
Cd: 0.241 0.111 0.814
P: 0.254 0.746 0.584
P: 0.260 0.729 0.275
O: 0.009 0.702 0.789
O: 0.091 0.620 0.597
O: 0.157 0.655 0.016
O: 0.246 0.664 0.176
O: 0.300 0.606 0.335
O: 0.469 0.210 0.924
O: 0.476 0.670 0.783

Main lines, by angle (15° ≤ 2θ ≤ 90°):
| Position (°2θ) | I_rel |
| --- | --- |
| 25.09 | 94.7 |
| 25.17 | 84.7 |
| 26.25 | 86.7 |
| 27.54 | 66.6 |
| 31.98 | 68.3 |
| 33.42 | 100.0 |



[2]
Simulated XRD peak list of SmMgI4 for Cu Kα (weighted mean of Kα1 and Kα2), from a GGA-PBE-relaxed structure.

Crystal structure
Lattice parameters (Å, degrees): 7.864 4.131 7.982 90.00 107.51 90.00
Space group P2/m (No. 10)
Symmetry-distinct sites (fractional):
Sm: 0.000 0.000 0.000
Mg: 0.500 0.500 0.000
I: 0.270 0.500 0.240
I: 0.272 0.000 0.780

Main lines, by angle (15° ≤ 2θ ≤ 90°):
| Position (°2θ) | I_rel |
| --- | --- |
| 25.68 | 31.7 |
| 27.93 | 53.3 |
| 28.82 | 100.0 |
| 38.43 | 20.2 |
| 40.34 | 37.4 |
| 40.78 | 38.2 |



[3]
Simulated XRD peak list of K4Ag2SbAs for Cu Kα (weighted mean of Kα1 and Kα2), from a GGA-PBE-relaxed structure.

Crystal structure
Lattice parameters (Å, degrees): 6.214 10.312 8.123 90.00 90.00 90.00
Space group Amm2 (No. 38)
Symmetry-distinct sites (fractional):
K: 0.000 0.169 0.000
K: 0.500 0.177 0.290
Ag: 0.257 0.000 0.661
Sb: 0.000 0.000 0.390
As: 0.500 0.000 0.917

Main lines, by angle (15° ≤ 2θ ≤ 90°):
| Position (°2θ) | I_rel |
| --- | --- |
| 17.20 | 100.0 |
| 28.19 | 55.0 |
| 31.72 | 88.8 |
| 32.04 | 68.9 |
| 36.41 | 60.1 |
| 40.53 | 66.7 |



[4]
Simulated XRD peak list of HfZrZn2Pd4 for Cu Kα (weighted mean of Kα1 and Kα2), from a GGA-PBE-relaxed structure.

Crystal structure
Lattice parameters (Å, degrees): 4.541 4.541 6.430 90.00 90.00 90.00
Space group P4/mmm (No. 123)
Symmetry-distinct sites (fractional):
Hf: 0.000 0.000 0.000
Zr: 0.500 0.500 0.500
Zn: 0.000 0.000 0.500
Zn: 0.500 0.500 0.000
Pd: 0.000 0.500 0.247

Main lines, by angle (15° ≤ 2θ ≤ 90°):
| Position (°2θ) | I_rel |
| --- | --- |
| 23.99 | 5.5 |
| 39.68 | 100.0 |
| 46.90 | 2.8 |
| 57.36 | 16.7 |
| 72.00 | 33.2 |
| 85.49 | 10.6 |



[5]
Simulated XRD peak list of LiNbBIr for Cu Kα (weighted mean of Kα1 and Kα2), from a GGA-PBE-relaxed structure.

Crystal structure
Lattice parameters (Å, degrees): 5.873 5.873 5.873 90.00 90.00 90.00
Space group F-43m (No. 216)
Symmetry-distinct sites (fractional):
Li: 0.000 0.000 0.000
Nb: 0.250 0.250 0.250
B: 0.250 0.250 0.750
Ir: 0.000 0.000 0.500

Main lines, by angle (15° ≤ 2θ ≤ 90°):
| Position (°2θ) | I_rel |
| --- | --- |
| 26.28 | 100.0 |
| 43.59 | 83.1 |
| 51.62 | 48.3 |
| 69.81 | 19.6 |
| 80.04 | 28.0 |
| 86.01 | 15.4 |



[6]
Simulated XRD peak list of PrLuSb2Pt2 for Cu Kα (weighted mean of Kα1 and Kα2), from a GGA-PBE-relaxed structure.

Crystal structure
Lattice parameters (Å, degrees): 9.437 4.697 14.116 90.00 109.26 90.00
Space group Pm (No. 6)
Symmetry-distinct sites (fractional):
Pr: 0.000 0.000 0.000
Pr: 0.124 0.500 0.746
Pr: 0.250 0.000 0.498
Pr: 0.503 0.000 0.001
Lu: 0.378 0.500 0.251
Lu: 0.628 0.500 0.747
Lu: 0.748 0.000 0.496
Lu: 0.876 0.500 0.250
Sb: 0.127 0.000 0.251
Sb: 0.253 0.500 0.004
Sb: 0.381 0.000 0.749
Sb: 0.504 0.500 0.496
Sb: 0.627 0.000 0.251
Sb: 0.752 0.500 0.999
Sb: 0.868 0.000 0.743
Sb: 0.992 0.500 0.495
Pt: 0.070 0.500 0.136
Pt: 0.190 0.000 0.874
Pt: 0.330 0.500 0.629
Pt: 0.445 0.000 0.370
Pt: 0.570 0.500 0.135
Pt: 0.685 0.000 0.864
Pt: 0.802 0.500 0.617
Pt: 0.928 0.000 0.370

Main lines, by angle (15° ≤ 2θ ≤ 90°):
| Position (°2θ) | I_rel |
| --- | --- |
| 23.16 | 62.4 |
| 38.15 | 99.8 |
| 38.30 | 100.0 |
| 45.19 | 31.7 |
| 55.17 | 34.1 |
| 69.15 | 39.7 |



[7]
Simulated XRD peak list of KNa3Ag2P2 for Cu Kα (weighted mean of Kα1 and Kα2), from a GGA-PBE-relaxed structure.

Crystal structure
Lattice parameters (Å, degrees): 5.723 5.715 5.878 90.00 101.88 90.00
Space group Pm (No. 6)
Symmetry-distinct sites (fractional):
K: 0.000 0.000 0.000
Na: 0.071 0.500 0.374
Na: 0.353 0.000 0.650
Na: 0.711 0.500 0.714
Ag: 0.536 0.252 0.186
P: 0.266 0.500 0.905
P: 0.794 0.000 0.468

Main lines, by angle (15° ≤ 2θ ≤ 90°):
| Position (°2θ) | I_rel |
| --- | --- |
| 15.40 | 100.0 |
| 15.83 | 79.7 |
| 19.72 | 78.5 |
| 31.93 | 54.5 |
| 35.26 | 54.0 |
| 40.05 | 63.1 |



[8]
Simulated XRD peak list of CsTaAuSeS2 for Cu Kα (weighted mean of Kα1 and Kα2), from a GGA-PBE-relaxed structure.

Crystal structure
Lattice parameters (Å, degrees): 3.665 16.640 10.047 90.00 90.00 90.00
Space group Cmcm (No. 63)
Symmetry-distinct sites (fractional):
Cs: 0.000 0.242 0.250
Ta: 0.000 0.000 0.000
Au: 0.000 0.450 0.750
Se: 0.000 0.070 0.750
S: 0.000 0.396 0.530

Main lines, by angle (15° ≤ 2θ ≤ 90°):
| Position (°2θ) | I_rel |
| --- | --- |
| 21.36 | 34.9 |
| 30.56 | 100.0 |
| 30.67 | 39.0 |
| 34.33 | 52.6 |
| 35.75 | 46.2 |
| 39.92 | 38.0 |



[9]
Simulated XRD peak list of Nd4C2Br3Cl2 for Cu Kα (weighted mean of Kα1 and Kα2), from a GGA-PBE-relaxed structure.

Crystal structure
Lattice parameters (Å, degrees): 19.554 3.938 8.117 90.00 112.63 90.00
Space group C2/m (No. 12)
Symmetry-distinct sites (fractional):
Nd: 0.003 0.000 0.298
Nd: 0.164 0.500 0.657
C: 0.039 0.500 0.538
Br: 0.000 0.500 0.000
Br: 0.163 0.000 0.935
Cl: 0.167 0.000 0.402

Main lines, by angle (15° ≤ 2θ ≤ 90°):
| Position (°2θ) | I_rel |
| --- | --- |
| 27.17 | 39.0 |
| 29.70 | 88.1 |
| 31.93 | 100.0 |
| 32.18 | 67.8 |
| 41.02 | 31.6 |
| 55.80 | 28.8 |



[10]
Simulated XRD peak list of Rb2BiAuCl6 for Cu Kα (weighted mean of Kα1 and Kα2), from a GGA-PBE-relaxed structure.

Crystal structure
Lattice parameters (Å, degrees): 10.795 10.795 10.795 90.00 90.00 90.00
Space group Fm-3m (No. 225)
Symmetry-distinct sites (fractional):
Rb: 0.250 0.250 0.250
Bi: 0.000 0.000 0.000
Au: 0.000 0.000 0.500
Cl: 0.000 0.000 0.252

Main lines, by angle (15° ≤ 2θ ≤ 90°):
| Position (°2θ) | I_rel |
| --- | --- |
| 16.42 | 41.0 |
| 23.31 | 100.0 |
| 33.20 | 51.6 |
| 40.96 | 48.0 |
| 47.66 | 36.2 |
| 64.61 | 25.9 |



[11]
Simulated XRD peak list of PrDyAg2P4 for Cu Kα (weighted mean of Kα1 and Kα2), from a GGA-PBE-relaxed structure.

Crystal structure
Lattice parameters (Å, degrees): 3.896 3.896 10.322 90.00 90.00 90.00
Space group P4mm (No. 99)
Symmetry-distinct sites (fractional):
Pr: 0.000 0.000 0.000
Dy: 0.500 0.500 0.555
Ag: 0.000 0.500 0.284
P: 0.000 0.000 0.465
P: 0.000 0.500 0.771
P: 0.500 0.500 0.105

Main lines, by angle (15° ≤ 2θ ≤ 90°):
| Position (°2θ) | I_rel |
| --- | --- |
| 24.42 | 45.4 |
| 34.78 | 40.0 |
| 36.99 | 100.0 |
| 46.63 | 29.0 |
| 59.46 | 25.0 |
| 80.09 | 20.4 |



[12]
Simulated XRD peak list of Nb4FeS8 for Cu Kα (weighted mean of Kα1 and Kα2), from a GGA-PBE-relaxed structure.

Crystal structure
Lattice parameters (Å, degrees): 6.6774 6.6774 12.0453 90.00 90.00 120.00
Space group P6_3/mmc (No. 194)
Symmetry-distinct sites (fractional):
Nb: 0.0000 0.0000 0.2500
Nb: 0.0117 0.5059 0.2500
Fe: 0.0000 0.0000 0.0000
S: 0.1672 0.3344 0.6196
S: 0.3333 0.6667 0.1164

Main lines, by angle (15° ≤ 2θ ≤ 90°):
| Position (°2θ) | I_rel |
| --- | --- |
| 30.93 | 38.0 |
| 34.41 | 66.8 |
| 43.39 | 100.0 |
| 55.01 | 35.7 |
| 72.53 | 20.1 |
| 87.18 | 18.6 |



Please write out number 12 again, unchanged.
Simulated XRD peak list of Nb4FeS8 for Cu Kα (weighted mean of Kα1 and Kα2), from a GGA-PBE-relaxed structure.

Crystal structure
Lattice parameters (Å, degrees): 6.6774 6.6774 12.0453 90.00 90.00 120.00
Space group P6_3/mmc (No. 194)
Symmetry-distinct sites (fractional):
Nb: 0.0000 0.0000 0.2500
Nb: 0.0117 0.5059 0.2500
Fe: 0.0000 0.0000 0.0000
S: 0.1672 0.3344 0.6196
S: 0.3333 0.6667 0.1164

Main lines, by angle (15° ≤ 2θ ≤ 90°):
| Position (°2θ) | I_rel |
| --- | --- |
| 30.93 | 38.0 |
| 34.41 | 66.8 |
| 43.39 | 100.0 |
| 55.01 | 35.7 |
| 72.53 | 20.1 |
| 87.18 | 18.6 |



- Which formula does entry 6 have?
  PrLuSb2Pt2



- Which formula does entry 7 have?
  KNa3Ag2P2